Li3MnVP3O12: computed powder diffractogram (copper Kα), based on a GGA+U-relaxed structure.
Intensities are scaled so that the largest is 100.

Principal peaks in the range 10° ≤ 2θ ≤ 90°, by angle:
Position (°2θ), d (Å), I (rel.)
14.31, 6.190, 25
20.24, 4.387, 23
20.64, 4.304, 22
20.92, 4.246, 49
23.83, 3.734, 100
24.33, 3.658, 47
28.85, 3.095, 30
32.79, 2.731, 20
35.07, 2.559, 25
48.13, 1.890, 22

Structural model:
abc: 8.506 8.506 8.616
angles: 118.32 118.32 63.16
Fractional positions:
1 Li 0.062 0.938 0.500
2 Li 0.193 0.690 0.155
3 Li 0.318 0.449 0.815
4 Li 0.449 0.318 0.315
5 Li 0.690 0.193 0.655
6 Li 0.938 0.062 0.000
7 Mn 0.333 0.828 0.007
8 Mn 0.828 0.333 0.507
9 V 0.046 0.554 0.301
10 V 0.554 0.046 0.801
11 P 0.138 0.244 0.905
12 P 0.244 0.138 0.405
13 P 0.439 0.641 0.622
14 P 0.641 0.439 0.122
15 P 0.739 0.940 0.192
16 P 0.940 0.739 0.692
17 O 0.003 0.726 0.545
18 O 0.083 0.157 0.454
19 O 0.104 0.737 0.884
20 O 0.127 0.430 0.073
21 O 0.157 0.083 0.954
22 O 0.213 0.307 0.359
23 O 0.255 0.953 0.234
24 O 0.275 0.649 0.433
25 O 0.307 0.213 0.859
26 O 0.376 0.656 0.772
27 O 0.430 0.127 0.573
28 O 0.445 0.579 0.082
29 O 0.508 0.804 0.685
30 O 0.574 0.873 0.133
31 O 0.579 0.445 0.582
32 O 0.649 0.275 0.933
33 O 0.656 0.376 0.272
34 O 0.726 0.003 0.045
35 O 0.737 0.104 0.384
36 O 0.794 0.934 0.733
37 O 0.804 0.508 0.185
38 O 0.873 0.574 0.633
39 O 0.934 0.794 0.233
40 O 0.953 0.255 0.734